Diffraction record for Tb6Ho2Zn. The PXRD pattern is theoretical, not measured: it uses a DFT-relaxed cell (GGA-PBE, Alexandria) and a wavelength of 1.5418 Å.
Lines closer than 0.1° are merged.

Largest 12 diffraction maxima, most intense first, 10 to 90 degrees two-theta:
2θ/deg  intensity
31.65  100
31.45  75
32.73  70
33.56  69
32.91  45
47.15  38
32.09  33
38.03  29
51.61  24
32.20  22
25.93  22
58.82  17

```
data_Tb6Ho2Zn
_chemical_formula_sum 'Tb12 Ho4 Zn2'
_symmetry_space_group_name_H-M 'P 1'
_symmetry_Int_Tables_number 1
_symmetry_space_group_name_Hall 'P 1'
_cell_length_a 9.995
_cell_length_b 10.084
_cell_length_c 5.340
_cell_angle_alpha 90.00
_cell_angle_beta 90.00
_cell_angle_gamma 90.00
loop_
_atom_site_label
_atom_site_type_symbol
_atom_site_fract_x
_atom_site_fract_y
_atom_site_fract_z
Tb1 Tb 0.036 0.186 0.000
Tb2 Tb 0.125 0.618 0.500
Tb3 Tb 0.186 0.951 0.500
Tb4 Tb 0.314 0.451 0.000
Tb5 Tb 0.375 0.118 0.000
Tb6 Tb 0.464 0.686 0.500
Tb7 Tb 0.536 0.314 0.500
Tb8 Tb 0.625 0.882 0.000
Tb9 Tb 0.686 0.549 0.000
Tb10 Tb 0.814 0.049 0.500
Tb11 Tb 0.875 0.382 0.500
Tb12 Tb 0.964 0.814 0.000
Ho1 Ho 0.210 0.277 0.500
Ho2 Ho 0.290 0.777 0.000
Ho3 Ho 0.710 0.223 0.000
Ho4 Ho 0.790 0.723 0.500
Zn1 Zn 0.000 0.500 0.000
Zn2 Zn 0.500 0.000 0.500
```



Diffraction record for Tb3Ho8Zr. The PXRD pattern is theoretical, not measured: it uses a DFT-relaxed cell (GGA-PBE, Alexandria) and a wavelength of 1.5418 Å.
Lines closer than 0.1° are merged.

Largest 12 diffraction maxima, most intense first, 10 to 90 degrees two-theta:
2θ/deg  intensity
33.41  100
59.68  24
20.28  22
23.45  19
59.79  12
47.91  12
39.39  12
79.90  10
70.22  7
48.08  6
41.22  5
52.59  5

```
data_Tb3Ho8Zr
_chemical_formula_sum 'Tb3 Ho8 Zr1'
_symmetry_space_group_name_H-M 'P 1'
_symmetry_Int_Tables_number 1
_symmetry_space_group_name_Hall 'P 1'
_cell_length_a 9.281
_cell_length_b 9.281
_cell_length_c 9.281
_cell_angle_alpha 131.70
_cell_angle_beta 131.70
_cell_angle_gamma 70.71
loop_
_atom_site_label
_atom_site_type_symbol
_atom_site_fract_x
_atom_site_fract_y
_atom_site_fract_z
Tb1 Tb 0.000 0.000 0.000
Tb2 Tb 0.250 0.750 0.500
Tb3 Tb 0.750 0.250 0.500
Ho1 Ho 0.140 0.140 0.519
Ho2 Ho 0.140 0.621 0.000
Ho3 Ho 0.379 0.379 0.519
Ho4 Ho 0.379 0.860 0.000
Ho5 Ho 0.621 0.140 0.000
Ho6 Ho 0.621 0.621 0.481
Ho7 Ho 0.860 0.379 0.000
Ho8 Ho 0.860 0.860 0.481
Zr1 Zr 0.500 0.500 0.000
```



Diffraction record for Tb2Ho4Zr. The PXRD pattern is theoretical, not measured: it uses a DFT-relaxed cell (GGA-PBE, Alexandria) and a wavelength of 1.5418 Å.
Lines closer than 0.1° are merged.

Largest 12 diffraction maxima, most intense first, 10 to 90 degrees two-theta:
2θ/deg  intensity
32.47  100
34.70  89
29.74  48
31.87  47
62.39  41
52.11  38
55.69  19
60.06  17
47.59  17
62.75  15
64.13  15
87.11  13

```
data_Tb2Ho4Zr
_chemical_formula_sum 'Tb4 Ho8 Zr2'
_symmetry_space_group_name_H-M 'P 1'
_symmetry_Int_Tables_number 1
_symmetry_space_group_name_Hall 'P 1'
_cell_length_a 6.080
_cell_length_b 3.510
_cell_length_c 19.655
_cell_angle_alpha 90.00
_cell_angle_beta 90.00
_cell_angle_gamma 90.00
loop_
_atom_site_label
_atom_site_type_symbol
_atom_site_fract_x
_atom_site_fract_y
_atom_site_fract_z
Tb1 Tb 0.000 0.000 0.000
Tb2 Tb 0.001 0.000 0.291
Tb3 Tb 0.500 0.500 0.000
Tb4 Tb 0.501 0.500 0.291
Ho1 Ho 0.166 0.500 0.851
Ho2 Ho 0.167 0.500 0.586
Ho3 Ho 0.334 0.000 0.145
Ho4 Ho 0.334 0.000 0.437
Ho5 Ho 0.666 0.000 0.851
Ho6 Ho 0.667 0.000 0.586
Ho7 Ho 0.834 0.500 0.145
Ho8 Ho 0.834 0.500 0.437
Zr1 Zr 0.000 0.000 0.719
Zr2 Zr 0.500 0.500 0.719
```



Diffraction record for Tb6Ho3Zr. The PXRD pattern is theoretical, not measured: it uses a DFT-relaxed cell (GGA-PBE, Alexandria) and a wavelength of 1.5418 Å.
Lines closer than 0.1° are merged.

Largest 12 diffraction maxima, most intense first, 10 to 90 degrees two-theta:
2θ/deg  intensity
30.74  100
36.39  56
28.64  51
64.92  39
36.77  33
33.22  29
44.79  26
50.39  19
88.52  18
59.30  17
24.60  15
62.52  13

```
data_Tb6Ho3Zr
_chemical_formula_sum 'Tb12 Ho6 Zr2'
_symmetry_space_group_name_H-M 'P 1'
_symmetry_Int_Tables_number 1
_symmetry_space_group_name_Hall 'P 1'
_cell_length_a 11.437
_cell_length_b 11.450
_cell_length_c 4.888
_cell_angle_alpha 90.00
_cell_angle_beta 90.00
_cell_angle_gamma 90.00
loop_
_atom_site_label
_atom_site_type_symbol
_atom_site_fract_x
_atom_site_fract_y
_atom_site_fract_z
Tb1 Tb 0.000 0.214 0.000
Tb2 Tb 0.000 0.786 0.000
Tb3 Tb 0.148 0.352 0.500
Tb4 Tb 0.214 0.000 0.000
Tb5 Tb 0.286 0.500 0.000
Tb6 Tb 0.352 0.852 0.500
Tb7 Tb 0.500 0.286 0.000
Tb8 Tb 0.500 0.714 0.000
Tb9 Tb 0.648 0.148 0.500
Tb10 Tb 0.714 0.500 0.000
Tb11 Tb 0.786 0.000 0.000
Tb12 Tb 0.852 0.648 0.500
Ho1 Ho 0.000 0.000 0.500
Ho2 Ho 0.146 0.646 0.500
Ho3 Ho 0.354 0.146 0.500
Ho4 Ho 0.500 0.500 0.500
Ho5 Ho 0.646 0.854 0.500
Ho6 Ho 0.854 0.354 0.500
Zr1 Zr 0.000 0.500 0.000
Zr2 Zr 0.500 0.000 0.000
```